For Li9Co7O16, a DFT-relaxed cell (GGA+U, Alexandria) gives the calculated powder diffractogram in this record (λ = 1.5418 Å (Cu Kα)).
No peak broadening, texture or thermal motion is included.

Principal peaks in the range 15° ≤ 2θ ≤ 90°, low angle first:
2θ (°), d [Å], I (rel.), index
18.74, 4.736, 100, 0 1 1
37.07, 2.425, 37, 1 0 -4
44.74, 2.026, 49, -1 1 5
44.91, 2.018, 24, 0 2 -6
58.89, 1.568, 10, 1 2 6
64.86, 1.437, 13, 1 3 -1
65.76, 1.420, 13, 2 0 0
69.08, 1.360, 9, 2 1 1

abc: 2.8385 5.0020 18.7181
angles: 94.12 90.11 90.02
Atoms (fractional coordinates):
Li: 0.0000 0.0000 0.0000
Li: 0.0000 0.5000 0.5000
Li: 0.0028 0.2435 0.7488
Li: 0.4934 0.1296 0.8756
Li: 0.4982 0.6266 0.3755
Li: 0.5000 0.5000 0.0000
Li: 0.5018 0.3734 0.6245
Li: 0.5066 0.8704 0.1244
Li: 0.9972 0.7565 0.2512
Co: 0.0018 0.8729 0.6244
Co: 0.0087 0.6190 0.8764
Co: 0.4969 0.2536 0.2510
Co: 0.5000 0.0000 0.5000
Co: 0.5031 0.7464 0.7490
Co: 0.9913 0.3810 0.1236
Co: 0.9982 0.1271 0.3756
O: 0.0004 0.1569 0.5596
O: 0.9996 0.8431 0.4404
O: 0.0028 0.5876 0.6893
O: 0.0045 0.9022 0.8076
O: 0.0063 0.6633 0.0701
O: 0.4902 0.5320 0.1854
O: 0.4959 0.7932 0.9284
O: 0.4981 0.9699 0.3160
O: 0.4990 0.2844 0.4352
O: 0.5010 0.7156 0.5648
O: 0.5019 0.0301 0.6840
O: 0.5041 0.2068 0.0716
O: 0.5098 0.4680 0.8146
O: 0.9937 0.3367 0.9299
O: 0.9955 0.0978 0.1924
O: 0.9972 0.4124 0.3107